1.
For Nd4Y6Ho, a DFT-relaxed cell (PBE, Alexandria) gives the theoretical X-ray diffraction stick pattern in this record (Cu Kα).
Intensities are scaled so that the largest is 100.

Most intense lines, 10° ≤ 2θ ≤ 90°, by angle:
18.64 deg, rel. 20; 29.65 deg, rel. 37; 31.14 deg, rel. 77; 32.58 deg, rel. 100; 35.25 deg, rel. 28; 37.78 deg, rel. 24; 45.68 deg, rel. 21; 50.71 deg, rel. 32; 57.23 deg, rel. 19; 61.56 deg, rel. 31

Structural model:
```
Nd4Y6Ho
1.0
10.9947 0.0000 0.0000
-5.4974 9.5217 0.0000
0.0000 0.0000 3.6021
Nd Y Ho
4 6 1
Direct
0.0000 0.0000 0.0000 Nd
0.5077 0.0154 0.5000 Nd
0.5077 0.4923 0.5000 Nd
0.9846 0.4923 0.5000 Nd
0.1876 0.3753 0.0000 Y
0.1876 0.8124 0.0000 Y
0.3003 0.1501 0.5000 Y
0.6247 0.8124 0.0000 Y
0.8499 0.1501 0.5000 Y
0.8499 0.6997 0.5000 Y
0.6667 0.3333 0.0000 Ho
```

2.
For Nd3Y8Ho, a DFT-relaxed cell (PBE, Alexandria) gives the theoretical X-ray diffraction stick pattern in this record (Cu Kα).
Intensities are scaled so that the largest is 100.

Most intense lines, 10° ≤ 2θ ≤ 90°, by angle:
21.12 deg, rel. 55; 23.95 deg, rel. 32; 28.74 deg, rel. 68; 31.29 deg, rel. 51; 32.77 deg, rel. 30; 35.94 deg, rel. 100; 43.00 deg, rel. 44; 44.16 deg, rel. 30; 55.72 deg, rel. 28; 58.76 deg, rel. 25

Structural model:
```
Nd3Y8Ho
1.0
-4.3929 4.3929 5.7169
4.3929 -4.3929 5.7169
4.3929 4.3929 -5.7169
Nd Y Ho
3 8 1
Direct
0.0000 0.0000 0.0000 Nd
0.2500 0.7500 0.5000 Nd
0.7500 0.2500 0.5000 Nd
0.1285 0.3803 0.0000 Y
0.2449 0.2449 0.5115 Y
0.2666 0.7551 0.0000 Y
0.3803 0.1285 0.0000 Y
0.6197 0.6197 0.7482 Y
0.7334 0.7334 0.4885 Y
0.7551 0.2666 0.0000 Y
0.8715 0.8715 0.2518 Y
0.5000 0.5000 0.0000 Ho
```

3.
For Nd5Y2Ho5, a DFT-relaxed cell (PBE, Alexandria) gives the theoretical X-ray diffraction stick pattern in this record (Cu Kα).
Intensities are scaled so that the largest is 100.

Most intense lines, 10° ≤ 2θ ≤ 90°, by angle:
30.43 deg, rel. 100; 35.18 deg, rel. 17; 35.33 deg, rel. 34; 50.71 deg, rel. 24; 50.82 deg, rel. 12; 60.20 deg, rel. 14; 60.40 deg, rel. 28; 63.31 deg, rel. 12; 82.55 deg, rel. 6; 85.44 deg, rel. 7

Structural model:
```
Nd5Y2Ho5
1.0
7.6237 -2.5402 0.0000
7.6237 2.5402 0.0000
-5.0980 0.0000 10.2049
Nd Y Ho
5 2 5
Direct
0.0000 0.0000 0.0000 Nd
0.0849 0.0849 0.7508 Nd
0.1657 0.1657 0.4997 Nd
0.8343 0.8343 0.5003 Nd
0.9151 0.9151 0.2492 Nd
0.4167 0.4167 0.7517 Y
0.5833 0.5833 0.2483 Y
0.2493 0.2493 0.2476 Ho
0.3318 0.3318 0.9988 Ho
0.5000 0.5000 0.5000 Ho
0.6682 0.6682 0.0012 Ho
0.7507 0.7507 0.7524 Ho
```

4.
For Nd5Y6Ho2, a DFT-relaxed cell (PBE, Alexandria) gives the theoretical X-ray diffraction stick pattern in this record (Cu Kα).
Intensities are scaled so that the largest is 100.

Most intense lines, 10° ≤ 2θ ≤ 90°, by angle:
26.97 deg, rel. 19; 30.31 deg, rel. 16; 30.77 deg, rel. 51; 31.19 deg, rel. 100; 31.48 deg, rel. 18; 31.86 deg, rel. 76; 33.91 deg, rel. 25; 36.27 deg, rel. 32; 50.54 deg, rel. 18; 60.34 deg, rel. 17

Structural model:
```
Nd5Y6Ho2
1.0
11.7400 0.0000 0.0000
0.0000 20.6714 0.0000
0.0000 0.0000 3.6120
Nd Y Ho
10 12 4
Direct
0.0000 0.0000 0.0000 Nd
0.0843 0.2721 0.0000 Nd
0.1997 0.5498 0.0000 Nd
0.3003 0.0498 0.0000 Nd
0.4157 0.7721 0.0000 Nd
0.5000 0.5000 0.0000 Nd
0.5843 0.2279 0.0000 Nd
0.6997 0.9502 0.0000 Nd
0.8003 0.4502 0.0000 Nd
0.9157 0.7279 0.0000 Nd
0.0598 0.4184 0.5000 Y
0.0817 0.1311 0.5000 Y
0.1753 0.8615 0.0000 Y
0.3247 0.3615 0.0000 Y
0.4183 0.6311 0.5000 Y
0.4402 0.9184 0.5000 Y
0.5598 0.0816 0.5000 Y
0.5817 0.3689 0.5000 Y
0.6753 0.6385 0.0000 Y
0.8247 0.1385 0.0000 Y
0.9183 0.8689 0.5000 Y
0.9402 0.5816 0.5000 Y
0.1699 0.7098 0.5000 Ho
0.3301 0.2098 0.5000 Ho
0.6699 0.7902 0.5000 Ho
0.8301 0.2902 0.5000 Ho
```

5.
For Nd3YHo5, a DFT-relaxed cell (PBE, Alexandria) gives the theoretical X-ray diffraction stick pattern in this record (Cu Kα).
Intensities are scaled so that the largest is 100.

Most intense lines, 10° ≤ 2θ ≤ 90°, by angle:
23.72 deg, rel. 28; 27.81 deg, rel. 48; 30.00 deg, rel. 42; 30.79 deg, rel. 77; 31.75 deg, rel. 100; 32.09 deg, rel. 83; 32.23 deg, rel. 59; 34.38 deg, rel. 39; 35.30 deg, rel. 25; 36.62 deg, rel. 27

Structural model:
```
Nd3YHo5
1.0
9.1147 -3.1819 0.0000
9.1147 3.1819 0.0000
-4.3216 0.0000 10.7399
Nd Y Ho
6 2 10
Direct
0.0000 0.0000 0.0000 Nd
0.0000 0.0000 0.5000 Nd
0.0090 0.6459 0.6259 Nd
0.3541 0.9910 0.8741 Nd
0.6459 0.0090 0.1259 Nd
0.9910 0.3541 0.3741 Nd
0.1190 0.8810 0.2500 Y
0.8810 0.1190 0.7500 Y
0.1260 0.5329 0.2817 Ho
0.1544 0.5279 0.9880 Ho
0.4026 0.5974 0.7500 Ho
0.4671 0.8740 0.2183 Ho
0.4721 0.8456 0.5120 Ho
0.5279 0.1544 0.4880 Ho
0.5329 0.1260 0.7817 Ho
0.5974 0.4026 0.2500 Ho
0.8456 0.4721 0.0120 Ho
0.8740 0.4671 0.7183 Ho
```

6.
For Nd2Y5Ho6, a DFT-relaxed cell (PBE, Alexandria) gives the theoretical X-ray diffraction stick pattern in this record (Cu Kα).
Intensities are scaled so that the largest is 100.

Most intense lines, 10° ≤ 2θ ≤ 90°, by angle:
27.43 deg, rel. 36; 30.94 deg, rel. 64; 31.46 deg, rel. 40; 31.83 deg, rel. 94; 32.10 deg, rel. 100; 34.22 deg, rel. 41; 36.53 deg, rel. 30; 50.80 deg, rel. 24; 56.75 deg, rel. 25; 61.22 deg, rel. 28

Structural model:
```
Nd2Y5Ho6
1.0
11.6810 0.0000 0.0000
0.0000 20.2855 0.0000
0.0000 0.0000 3.5938
Nd Y Ho
4 10 12
Direct
0.1691 0.2165 0.0000 Nd
0.3309 0.7165 0.0000 Nd
0.6691 0.2835 0.0000 Nd
0.8309 0.7835 0.0000 Nd
0.0000 0.5000 0.5000 Y
0.0909 0.7790 0.5000 Y
0.1992 0.0533 0.5000 Y
0.3008 0.5533 0.5000 Y
0.4091 0.2790 0.5000 Y
0.5000 0.0000 0.5000 Y
0.5909 0.7210 0.5000 Y
0.6992 0.4467 0.5000 Y
0.8008 0.9467 0.5000 Y
0.9091 0.2210 0.5000 Y
0.0616 0.9233 0.0000 Ho
0.0777 0.6355 0.0000 Ho
0.1777 0.3721 0.5000 Ho
0.3223 0.8721 0.5000 Ho
0.4223 0.1355 0.0000 Ho
0.4384 0.4233 0.0000 Ho
0.5616 0.5767 0.0000 Ho
0.5777 0.8645 0.0000 Ho
0.6777 0.1279 0.5000 Ho
0.8223 0.6279 0.5000 Ho
0.9223 0.3645 0.0000 Ho
0.9384 0.0767 0.0000 Ho
```

7.
For Nd6Y2Ho3, a DFT-relaxed cell (PBE, Alexandria) gives the theoretical X-ray diffraction stick pattern in this record (Cu Kα).
Intensities are scaled so that the largest is 100.

Most intense lines, 10° ≤ 2θ ≤ 90°, by angle:
30.23 deg, rel. 100; 30.44 deg, rel. 32; 35.11 deg, rel. 67; 50.36 deg, rel. 24; 50.63 deg, rel. 23; 59.87 deg, rel. 14; 59.99 deg, rel. 28; 60.23 deg, rel. 14; 62.87 deg, rel. 12; 81.96 deg, rel. 12

Structural model:
```
Nd6Y2Ho3
1.0
1.8118 1.0461 32.3047
-1.8118 1.0461 32.3047
0.0000 -2.0921 32.3047
Nd Y Ho
6 2 3
Direct
0.0901 0.0901 0.0901 Nd
0.1823 0.1823 0.1823 Nd
0.3633 0.3633 0.3633 Nd
0.6367 0.6367 0.6367 Nd
0.8177 0.8177 0.8177 Nd
0.9099 0.9099 0.9099 Nd
0.4538 0.4538 0.4538 Y
0.5462 0.5462 0.5462 Y
0.0000 0.0000 0.0000 Ho
0.2733 0.2733 0.2733 Ho
0.7267 0.7267 0.7267 Ho
```

8.
For Nd2Y6Ho3, a DFT-relaxed cell (PBE, Alexandria) gives the theoretical X-ray diffraction stick pattern in this record (Cu Kα).
Intensities are scaled so that the largest is 100.

Most intense lines, 10° ≤ 2θ ≤ 90°, by angle:
30.87 deg, rel. 100; 30.97 deg, rel. 33; 35.83 deg, rel. 66; 51.51 deg, rel. 23; 51.64 deg, rel. 23; 61.33 deg, rel. 32; 61.44 deg, rel. 14; 64.33 deg, rel. 12; 84.13 deg, rel. 9; 86.95 deg, rel. 10

Structural model:
```
Nd2Y6Ho3
1.0
3.0708 -5.3270 0.0000
3.0708 5.3270 0.0000
-2.0655 0.0000 11.5492
Nd Y Ho
2 6 3
Direct
0.1666 0.8334 0.0000 Nd
0.8334 0.1666 0.0000 Nd
0.0827 0.4159 0.7470 Y
0.2509 0.2509 0.2529 Y
0.4159 0.0827 0.7470 Y
0.5841 0.9173 0.2530 Y
0.7491 0.7491 0.7471 Y
0.9173 0.5841 0.2530 Y
0.0000 0.0000 0.5000 Ho
0.3351 0.6649 0.5000 Ho
0.6649 0.3351 0.5000 Ho
```

9.
For Nd2Y3Ho2, a DFT-relaxed cell (PBE, Alexandria) gives the theoretical X-ray diffraction stick pattern in this record (Cu Kα).
Intensities are scaled so that the largest is 100.

Most intense lines, 10° ≤ 2θ ≤ 90°, by angle:
22.23 deg, rel. 18; 25.72 deg, rel. 19; 28.82 deg, rel. 100; 31.64 deg, rel. 41; 34.25 deg, rel. 96; 39.00 deg, rel. 17; 45.35 deg, rel. 16; 47.31 deg, rel. 42; 58.03 deg, rel. 40; 61.32 deg, rel. 22

Structural model:
```
Nd2Y3Ho2
1.0
-4.8987 4.8987 4.8987
4.8987 -4.8987 4.8987
4.8987 4.8987 -4.8987
Nd Y Ho
4 6 4
Direct
0.0000 0.6889 0.5000 Nd
0.5000 0.0000 0.6889 Nd
0.6889 0.5000 0.0000 Nd
0.8111 0.8111 0.8111 Nd
0.1931 0.9431 0.2500 Y
0.2500 0.1931 0.9431 Y
0.3069 0.5569 0.7500 Y
0.5569 0.7500 0.3069 Y
0.7500 0.3069 0.5569 Y
0.9431 0.2500 0.1931 Y
0.0000 0.0861 0.5000 Ho
0.0861 0.5000 0.0000 Ho
0.4139 0.4139 0.4139 Ho
0.5000 0.0000 0.0861 Ho
```

10.
For Nd9Y2Ho3, a DFT-relaxed cell (PBE, Alexandria) gives the theoretical X-ray diffraction stick pattern in this record (Cu Kα).
Intensities are scaled so that the largest is 100.

Most intense lines, 10° ≤ 2θ ≤ 90°, by angle:
25.32 deg, rel. 32; 29.67 deg, rel. 40; 30.78 deg, rel. 69; 32.20 deg, rel. 15; 32.74 deg, rel. 100; 33.83 deg, rel. 21; 35.80 deg, rel. 30; 53.17 deg, rel. 17; 53.46 deg, rel. 29; 60.04 deg, rel. 18

Structural model:
```
Nd9Y2Ho3
1.0
9.0700 0.0000 0.0000
-4.5350 7.8549 0.0000
0.0000 0.0000 14.0710
Nd Y Ho
18 4 6
Direct
0.0806 0.4813 0.2500 Nd
0.1323 0.7261 0.0424 Nd
0.1323 0.7261 0.4576 Nd
0.2739 0.4062 0.0424 Nd
0.2739 0.4062 0.4576 Nd
0.4006 0.9194 0.2500 Nd
0.4062 0.1323 0.5424 Nd
0.4062 0.1323 0.9576 Nd
0.4813 0.4006 0.7500 Nd
0.5187 0.5994 0.2500 Nd
0.5938 0.8677 0.0424 Nd
0.5938 0.8677 0.4576 Nd
0.5994 0.0806 0.7500 Nd
0.7261 0.5938 0.5424 Nd
0.7261 0.5938 0.9576 Nd
0.8677 0.2739 0.5424 Nd
0.8677 0.2739 0.9576 Nd
0.9194 0.5187 0.7500 Nd
0.3333 0.6667 0.6423 Y
0.3333 0.6667 0.8577 Y
0.6667 0.3333 0.1423 Y
0.6667 0.3333 0.3577 Y
0.0774 0.2493 0.7500 Ho
0.1719 0.9226 0.7500 Ho
0.2493 0.1719 0.2500 Ho
0.7507 0.8281 0.7500 Ho
0.8281 0.0774 0.2500 Ho
0.9226 0.7507 0.2500 Ho
```

11.
For Nd3Y2Ho8, a DFT-relaxed cell (PBE, Alexandria) gives the theoretical X-ray diffraction stick pattern in this record (Cu Kα).
Intensities are scaled so that the largest is 100.

Most intense lines, 10° ≤ 2θ ≤ 90°, by angle:
30.66 deg, rel. 100; 30.70 deg, rel. 99; 35.57 deg, rel. 100; 51.17 deg, rel. 59; 51.27 deg, rel. 12; 60.83 deg, rel. 49; 60.93 deg, rel. 35; 63.87 deg, rel. 18; 83.41 deg, rel. 15; 86.11 deg, rel. 19

Structural model:
```
Nd3Y2Ho8
1.0
6.1847 0.0000 0.0000
1.0253 6.0991 0.0000
2.0724 -0.3285 11.0779
Nd Y Ho
3 2 8
Direct
0.0000 0.0000 0.0000 Nd
0.2310 0.4617 0.0791 Nd
0.7690 0.5383 0.9209 Nd
0.3834 0.7696 0.4620 Y
0.6166 0.2304 0.5380 Y
0.0772 0.1532 0.6900 Ho
0.1527 0.3078 0.3859 Ho
0.3084 0.6140 0.7662 Ho
0.4622 0.9247 0.1568 Ho
0.5378 0.0753 0.8432 Ho
0.6916 0.3860 0.2338 Ho
0.8473 0.6922 0.6141 Ho
0.9228 0.8468 0.3100 Ho
```

12.
For Nd3YHo4, a DFT-relaxed cell (PBE, Alexandria) gives the theoretical X-ray diffraction stick pattern in this record (Cu Kα).
Intensities are scaled so that the largest is 100.

Most intense lines, 10° ≤ 2θ ≤ 90°, by angle:
28.16 deg, rel. 24; 28.29 deg, rel. 12; 31.19 deg, rel. 36; 32.27 deg, rel. 100; 32.39 deg, rel. 49; 42.55 deg, rel. 23; 50.00 deg, rel. 19; 56.22 deg, rel. 31; 60.12 deg, rel. 22; 60.63 deg, rel. 16

Structural model:
```
Nd3YHo4
1.0
11.4708 0.0000 0.0000
0.0000 7.3294 0.0000
0.0000 0.0000 6.3089
Nd Y Ho
6 2 8
Direct
0.0000 0.1282 0.0000 Nd
0.2503 0.1274 0.3358 Nd
0.2497 0.8726 0.8358 Nd
0.5000 0.8718 0.5000 Nd
0.7497 0.1274 0.3358 Nd
0.7503 0.8726 0.8358 Nd
0.0000 0.8703 0.4985 Y
0.5000 0.1297 0.9985 Y
0.0000 0.3779 0.4998 Ho
0.0000 0.6207 0.0005 Ho
0.2488 0.6211 0.3327 Ho
0.2512 0.3789 0.8327 Ho
0.5000 0.3793 0.5005 Ho
0.5000 0.6221 0.9998 Ho
0.7488 0.3789 0.8327 Ho
0.7512 0.6211 0.3327 Ho
```